# La2Ge3PPt4
Calculated powder diffraction line list, Cu Kα (weighted mean of Kα1 and Kα2). Input: a crystal structure in Alexandria, relaxed with PBE.

```
data_La2Ge3PPt4
_space_group_name_H-M_alt 'P -4 m 2'
_space_group_IT_number 115
_space_group_name_Hall 'P -4 -2'
_cell_length_a 4.453
_cell_length_b 4.453
_cell_length_c 9.821
_cell_angle_alpha 90.00
_cell_angle_beta 90.00
_cell_angle_gamma 90.00
loop_
_atom_site_label
_atom_site_fract_x
_atom_site_fract_y
_atom_site_fract_z
La1 0.000 0.500 0.242
Ge1 0.000 0.000 0.000
Ge2 0.000 0.500 0.630
P1 0.500 0.500 0.000
Pt1 0.000 0.000 0.500
Pt2 0.000 0.500 0.887
Pt3 0.500 0.500 0.500
```

Peak list (12 most intense, 10° ≤ 2θ ≤ 90°, low angle first)
hkl 0 0 2, 18.1 deg, intensity 16.0
hkl 1 1 1, 29.8 deg, intensity 61.3
hkl 1 1 2, 33.8 deg, intensity 99.2
hkl 1 0 3, 34.0 deg, intensity 92.3
hkl 2 0 0, 40.5 deg, intensity 100.0
hkl 1 1 4, 46.9 deg, intensity 42.5
hkl 1 0 5, 50.8 deg, intensity 18.0
hkl 2 1 3, 53.9 deg, intensity 49.9
hkl 2 2 0, 58.6 deg, intensity 33.9
hkl 1 1 6, 64.1 deg, intensity 24.4
hkl 3 1 2, 69.4 deg, intensity 24.6
hkl 3 1 4, 78.3 deg, intensity 19.2

# LaPaGe2Rh5
Calculated powder diffraction line list, Cu Kα (weighted mean of Kα1 and Kα2). Input: a crystal structure in Alexandria, relaxed with PBE.

```
data_LaPaGe2Rh5
_space_group_name_H-M_alt 'P 4/m m m'
_space_group_IT_number 123
_space_group_name_Hall '-P 4 2'
_cell_length_a 4.030
_cell_length_b 4.030
_cell_length_c 11.420
_cell_angle_alpha 90.00
_cell_angle_beta 90.00
_cell_angle_gamma 90.00
loop_
_atom_site_label
_atom_site_fract_x
_atom_site_fract_y
_atom_site_fract_z
La1 0.000 0.000 0.000
Pa1 0.000 0.000 0.500
Ge1 0.500 0.500 0.212
Rh1 0.000 0.500 0.336
Rh2 0.500 0.500 0.000
```

Peak list (12 most intense, 10° ≤ 2θ ≤ 90°, low angle first)
hkl 0 0 3, 23.4 deg, intensity 40.5
hkl 1 0 2, 27.1 deg, intensity 51.3
hkl 1 1 1, 32.4 deg, intensity 17.7
hkl 1 1 2, 35.2 deg, intensity 48.9
hkl 1 1 3, 39.5 deg, intensity 31.9
hkl 2 0 0, 45.0 deg, intensity 100.0
hkl 0 0 6, 47.8 deg, intensity 15.0
hkl 1 1 5, 51.3 deg, intensity 19.3
hkl 2 1 2, 53.3 deg, intensity 20.3
hkl 2 2 0, 65.5 deg, intensity 15.0
hkl 2 0 6, 67.7 deg, intensity 19.5
hkl 3 1 4, 83.0 deg, intensity 19.0

# La2PaGe3Rh4
Calculated powder diffraction line list, Cu Kα (weighted mean of Kα1 and Kα2). Input: a crystal structure in Alexandria, relaxed with PBE.

```
data_La2PaGe3Rh4
_space_group_name_H-M_alt 'P -4 m 2'
_space_group_IT_number 115
_space_group_name_Hall 'P -4 -2'
_cell_length_a 4.310
_cell_length_b 4.310
_cell_length_c 10.922
_cell_angle_alpha 90.00
_cell_angle_beta 90.00
_cell_angle_gamma 90.00
loop_
_atom_site_label
_atom_site_fract_x
_atom_site_fract_y
_atom_site_fract_z
La1 0.000 0.500 0.229
Pa1 0.000 0.000 0.500
Ge1 0.000 0.500 0.878
Ge2 0.500 0.500 0.500
Rh1 0.000 0.000 0.000
Rh2 0.000 0.500 0.648
Rh3 0.500 0.500 0.000
```

Peak list (12 most intense, 10° ≤ 2θ ≤ 90°, low angle first)
hkl 1 0 2, 26.3 deg, intensity 10.3
hkl 1 0 3, 32.2 deg, intensity 35.1
hkl 1 1 2, 33.7 deg, intensity 100.0
hkl 1 0 4, 39.1 deg, intensity 9.1
hkl 2 0 0, 41.9 deg, intensity 52.1
hkl 1 1 4, 44.6 deg, intensity 24.2
hkl 1 0 5, 46.6 deg, intensity 17.1
hkl 2 1 3, 53.8 deg, intensity 16.3
hkl 1 1 6, 59.1 deg, intensity 9.1
hkl 2 2 0, 60.8 deg, intensity 17.2
hkl 2 1 5, 64.5 deg, intensity 12.8
hkl 3 1 2, 71.3 deg, intensity 24.7

# La3GePb
Calculated powder diffraction line list, Cu Kα (weighted mean of Kα1 and Kα2). Input: a crystal structure in Alexandria, relaxed with PBE.

```
data_La3GePb
_space_group_name_H-M_alt 'F m m m'
_space_group_IT_number 69
_space_group_name_Hall '-F 2 2'
_cell_length_a 7.614
_cell_length_b 9.831
_cell_length_c 16.518
_cell_angle_alpha 90.00
_cell_angle_beta 90.00
_cell_angle_gamma 90.00
loop_
_atom_site_label
_atom_site_fract_x
_atom_site_fract_y
_atom_site_fract_z
La1 0.000 0.000 0.194
La2 0.000 0.197 0.395
Ge1 0.250 0.250 0.250
Pb1 0.203 0.000 0.000
```

Peak list (12 most intense, 10° ≤ 2θ ≤ 90°, low angle first)
hkl 0 2 4, 28.2 deg, intensity 47.1
hkl 1 3 1, 30.2 deg, intensity 57.6
hkl 1 1 5, 30.9 deg, intensity 52.0
hkl 2 2 2, 31.6 deg, intensity 100.0
hkl 2 0 4, 32.0 deg, intensity 63.4
hkl 0 4 0, 36.6 deg, intensity 24.0
hkl 3 1 1, 37.0 deg, intensity 18.7
hkl 0 2 6, 37.4 deg, intensity 48.3
hkl 3 1 3, 40.2 deg, intensity 18.8
hkl 3 3 3, 48.3 deg, intensity 25.6
hkl 2 2 8, 53.8 deg, intensity 23.4
hkl 0 0 10, 55.7 deg, intensity 35.4

# LaGe2Pd7Pb2
Calculated powder diffraction line list, Cu Kα (weighted mean of Kα1 and Kα2). Input: a crystal structure in Alexandria, relaxed with PBE.

```
data_LaGe2Pd7Pb2
_space_group_name_H-M_alt 'C 1 2/m 1'
_space_group_IT_number 12
_space_group_name_Hall '-C 2y'
_cell_length_a 5.878
_cell_length_b 5.801
_cell_length_c 14.372
_cell_angle_alpha 90.00
_cell_angle_beta 98.14
_cell_angle_gamma 90.00
loop_
_atom_site_label
_atom_site_fract_x
_atom_site_fract_y
_atom_site_fract_z
La1 0.000 0.000 0.000
Ge1 0.091 0.500 0.255
Pd1 0.000 0.500 0.000
Pd2 0.129 0.500 0.428
Pd3 0.194 0.250 0.844
Pb1 0.110 0.000 0.383
```

Peak list (12 most intense, 10° ≤ 2θ ≤ 90°, low angle first)
hkl 1 1 -3, 27.3 deg, intensity 27.9
hkl 0 2 0, 30.8 deg, intensity 25.9
hkl 0 0 5, 31.5 deg, intensity 100.0
hkl 0 2 2, 33.4 deg, intensity 22.8
hkl 2 0 -3, 33.8 deg, intensity 54.6
hkl 2 0 2, 34.9 deg, intensity 93.4
hkl 0 2 3, 36.3 deg, intensity 75.2
hkl 1 1 5, 40.3 deg, intensity 22.6
hkl 2 2 -1, 43.9 deg, intensity 70.1
hkl 2 2 0, 44.1 deg, intensity 27.5
hkl 0 0 7, 44.6 deg, intensity 33.6
hkl 0 4 0, 64.2 deg, intensity 19.2

# LaGe2Pt7Pb2
Calculated powder diffraction line list, Cu Kα (weighted mean of Kα1 and Kα2). Input: a crystal structure in Alexandria, relaxed with PBE.

```
data_LaGe2Pt7Pb2
_space_group_name_H-M_alt 'C 1 2/m 1'
_space_group_IT_number 12
_space_group_name_Hall '-C 2y'
_cell_length_a 5.714
_cell_length_b 5.718
_cell_length_c 16.066
_cell_angle_alpha 90.00
_cell_angle_beta 100.18
_cell_angle_gamma 90.00
loop_
_atom_site_label
_atom_site_fract_x
_atom_site_fract_y
_atom_site_fract_z
La1 0.000 0.000 0.000
Ge1 0.119 0.500 0.239
Pt1 0.000 0.500 0.000
Pt2 0.177 0.250 0.854
Pt3 0.197 0.500 0.393
Pb1 0.212 0.000 0.423
```

Peak list (12 most intense, 10° ≤ 2θ ≤ 90°, low angle first)
hkl 0 0 4, 22.5 deg, intensity 29.1
hkl 0 0 5, 28.2 deg, intensity 34.0
hkl 2 0 0, 31.8 deg, intensity 67.0
hkl 2 0 1, 33.3 deg, intensity 46.1
hkl 2 0 -4, 35.7 deg, intensity 100.0
hkl 2 0 3, 38.9 deg, intensity 26.1
hkl 0 0 7, 39.9 deg, intensity 29.3
hkl 2 0 4, 42.6 deg, intensity 65.5
hkl 2 2 -1, 44.8 deg, intensity 88.1
hkl 2 0 5, 46.9 deg, intensity 36.7
hkl 2 2 6, 61.6 deg, intensity 33.5
hkl 0 4 0, 65.3 deg, intensity 29.1

# La2Ge3Rh4Pb
Calculated powder diffraction line list, Cu Kα (weighted mean of Kα1 and Kα2). Input: a crystal structure in Alexandria, relaxed with PBE.

```
data_La2Ge3Rh4Pb
_space_group_name_H-M_alt 'P -4 m 2'
_space_group_IT_number 115
_space_group_name_Hall 'P -4 -2'
_cell_length_a 4.316
_cell_length_b 4.316
_cell_length_c 10.761
_cell_angle_alpha 90.00
_cell_angle_beta 90.00
_cell_angle_gamma 90.00
loop_
_atom_site_label
_atom_site_fract_x
_atom_site_fract_y
_atom_site_fract_z
La1 0.000 0.500 0.244
Ge1 0.000 0.500 0.880
Ge2 0.500 0.500 0.500
Rh1 0.000 0.000 0.000
Rh2 0.000 0.500 0.654
Rh3 0.500 0.500 0.000
Pb1 0.000 0.000 0.500
```

Peak list (12 most intense, 10° ≤ 2θ ≤ 90°, low angle first)
hkl 1 0 3, 32.5 deg, intensity 33.8
hkl 0 0 4, 33.3 deg, intensity 7.8
hkl 1 1 2, 33.8 deg, intensity 100.0
hkl 2 0 0, 41.9 deg, intensity 50.9
hkl 1 1 4, 44.9 deg, intensity 18.2
hkl 1 0 5, 47.2 deg, intensity 19.0
hkl 2 1 3, 53.9 deg, intensity 15.9
hkl 1 1 6, 59.8 deg, intensity 10.2
hkl 2 2 0, 60.7 deg, intensity 17.6
hkl 2 1 5, 64.9 deg, intensity 14.7
hkl 3 1 2, 71.3 deg, intensity 22.7
hkl 2 0 8, 85.0 deg, intensity 8.9

# La4Ge3Pd
Calculated powder diffraction line list, Cu Kα (weighted mean of Kα1 and Kα2). Input: a crystal structure in Alexandria, relaxed with PBE.

```
data_La4Ge3Pd
_space_group_name_H-M_alt 'P m m 2'
_space_group_IT_number 25
_space_group_name_Hall 'P 2 -2'
_cell_length_a 4.273
_cell_length_b 4.437
_cell_length_c 11.407
_cell_angle_alpha 90.00
_cell_angle_beta 90.00
_cell_angle_gamma 90.00
loop_
_atom_site_label
_atom_site_fract_x
_atom_site_fract_y
_atom_site_fract_z
La1 0.000 0.000 0.000
La2 0.000 0.500 0.494
La3 0.500 0.000 0.270
La4 0.500 0.500 0.775
Ge1 0.000 0.000 0.711
Ge2 0.000 0.500 0.210
Ge3 0.500 0.000 0.556
Pd1 0.500 0.500 0.059
```

Peak list (12 most intense, 10° ≤ 2θ ≤ 90°, low angle first)
hkl 1 0 2, 26.1 deg, intensity 15.5
hkl 1 1 1, 30.1 deg, intensity 100.0
hkl 0 1 3, 31.0 deg, intensity 37.0
hkl 0 0 4, 31.4 deg, intensity 27.4
hkl 1 1 3, 37.6 deg, intensity 63.4
hkl 1 0 4, 37.9 deg, intensity 19.3
hkl 0 2 0, 40.7 deg, intensity 26.1
hkl 2 0 0, 42.3 deg, intensity 23.3
hkl 2 1 3, 53.3 deg, intensity 15.9
hkl 2 2 0, 60.1 deg, intensity 16.3
hkl 0 1 7, 60.5 deg, intensity 15.1
hkl 2 1 7, 76.6 deg, intensity 15.0

# La2GePd3
Calculated powder diffraction line list, Cu Kα (weighted mean of Kα1 and Kα2). Input: a crystal structure in Alexandria, relaxed with PBE.

```
data_La2GePd3
_space_group_name_H-M_alt 'P 63/m m c'
_space_group_IT_number 194
_space_group_name_Hall '-P 6c 2c'
_cell_length_a 4.4764
_cell_length_b 4.4764
_cell_length_c 15.9477
_cell_angle_alpha 90.00
_cell_angle_beta 90.00
_cell_angle_gamma 120.00
loop_
_atom_site_label
_atom_site_fract_x
_atom_site_fract_y
_atom_site_fract_z
La1 0.0000 0.0000 0.1255
Ge1 0.3333 0.6667 0.2500
Pd1 0.3333 0.6667 0.9996
Pd2 0.3333 0.6667 0.7500
```

Peak list (12 most intense, 10° ≤ 2θ ≤ 90°, low angle first)
hkl 0 0 4, 22.3 deg, intensity 3.2
hkl 1 0 0, 22.9 deg, intensity 2.7
hkl 1 0 4, 32.2 deg, intensity 100.0
hkl 1 1 0, 40.3 deg, intensity 54.6
hkl 0 0 8, 45.5 deg, intensity 12.8
hkl 2 0 4, 52.5 deg, intensity 24.9
hkl 1 1 8, 62.4 deg, intensity 29.5
hkl 2 1 4, 68.2 deg, intensity 22.4
hkl 3 0 0, 73.3 deg, intensity 9.1
hkl 1 0 12, 75.6 deg, intensity 8.3
hkl 2 2 0, 87.1 deg, intensity 5.9
hkl 2 0 12, 89.4 deg, intensity 5.6

# La6Ge3Pd
Calculated powder diffraction line list, Cu Kα (weighted mean of Kα1 and Kα2). Input: a crystal structure in Alexandria, relaxed with PBE.

```
data_La6Ge3Pd
_space_group_name_H-M_alt 'P 1 21/m 1'
_space_group_IT_number 11
_space_group_name_Hall '-P 2yb'
_cell_length_a 11.199
_cell_length_b 4.284
_cell_length_c 13.472
_cell_angle_alpha 90.00
_cell_angle_beta 111.65
_cell_angle_gamma 90.00
loop_
_atom_site_label
_atom_site_fract_x
_atom_site_fract_y
_atom_site_fract_z
La1 0.015 0.250 0.371
La2 0.081 0.250 0.908
La3 0.251 0.750 0.333
La4 0.338 0.750 0.113
La5 0.347 0.750 0.785
La6 0.394 0.250 0.566
Ge1 0.131 0.250 0.151
Ge2 0.183 0.750 0.530
Ge3 0.416 0.250 0.970
Pd1 0.423 0.250 0.298
```

Peak list (12 most intense, 10° ≤ 2θ ≤ 90°, low angle first)
hkl 1 1 -2, 24.9 deg, intensity 33.9
hkl 2 0 -4, 27.3 deg, intensity 30.3
hkl 2 1 1, 29.5 deg, intensity 71.0
hkl 0 1 3, 29.9 deg, intensity 40.6
hkl 1 0 4, 32.8 deg, intensity 29.1
hkl 4 0 -3, 33.2 deg, intensity 100.0
hkl 1 0 -5, 33.5 deg, intensity 59.7
hkl 3 1 -3, 34.0 deg, intensity 30.8
hkl 2 1 -4, 34.5 deg, intensity 46.8
hkl 4 1 -3, 39.4 deg, intensity 25.6
hkl 0 2 0, 42.2 deg, intensity 53.6
hkl 5 0 1, 46.8 deg, intensity 24.8

# La3Ge6Pd4Pt2
Calculated powder diffraction line list, Cu Kα (weighted mean of Kα1 and Kα2). Input: a crystal structure in Alexandria, relaxed with PBE.

```
data_La3Ge6Pd4Pt2
_space_group_name_H-M_alt 'P 4 m m'
_space_group_IT_number 99
_space_group_name_Hall 'P 4 -2'
_cell_length_a 4.428
_cell_length_b 4.428
_cell_length_c 30.301
_cell_angle_alpha 90.00
_cell_angle_beta 90.00
_cell_angle_gamma 90.00
loop_
_atom_site_label
_atom_site_fract_x
_atom_site_fract_y
_atom_site_fract_z
La1 0.000 0.000 0.000
La2 0.000 0.000 0.333
La3 0.000 0.000 0.666
La4 0.500 0.500 0.165
La5 0.500 0.500 0.498
La6 0.500 0.500 0.831
Ge1 0.000 0.000 0.206
Ge2 0.000 0.000 0.540
Ge3 0.000 0.000 0.873
Ge4 0.000 0.500 0.082
Ge5 0.000 0.500 0.415
Ge6 0.000 0.500 0.749
Ge7 0.500 0.500 0.291
Ge8 0.500 0.500 0.625
Ge9 0.500 0.500 0.958
Pd1 0.000 0.500 0.249
Pd2 0.000 0.500 0.582
Pd3 0.000 0.500 0.915
Pd4 0.500 0.500 0.040
Pd5 0.500 0.500 0.374
Pt1 0.000 0.000 0.124
Pt2 0.000 0.000 0.458
Pt3 0.000 0.000 0.790
Pt4 0.500 0.500 0.707
```

Peak list (12 most intense, 10° ≤ 2θ ≤ 90°, low angle first)
hkl 1 1 0, 28.5 deg, intensity 26.8
hkl 1 0 9, 33.4 deg, intensity 88.6
hkl 1 1 6, 33.7 deg, intensity 100.0
hkl 2 0 0, 40.8 deg, intensity 87.7
hkl 1 1 12, 46.2 deg, intensity 32.2
hkl 1 0 15, 49.6 deg, intensity 30.7
hkl 2 1 9, 53.7 deg, intensity 46.0
hkl 2 2 0, 59.0 deg, intensity 29.3
hkl 1 1 18, 62.7 deg, intensity 15.0
hkl 2 1 15, 66.1 deg, intensity 25.8
hkl 3 1 6, 69.7 deg, intensity 23.6
hkl 2 0 24, 89.3 deg, intensity 18.8

# La2SiGe3Pd4
Calculated powder diffraction line list, Cu Kα (weighted mean of Kα1 and Kα2). Input: a crystal structure in Alexandria, relaxed with PBE.

```
data_La2SiGe3Pd4
_space_group_name_H-M_alt 'P -4 m 2'
_space_group_IT_number 115
_space_group_name_Hall 'P -4 -2'
_cell_length_a 4.393
_cell_length_b 4.393
_cell_length_c 10.093
_cell_angle_alpha 90.00
_cell_angle_beta 90.00
_cell_angle_gamma 90.00
loop_
_atom_site_label
_atom_site_fract_x
_atom_site_fract_y
_atom_site_fract_z
La1 0.000 0.500 0.245
Si1 0.500 0.500 0.000
Ge1 0.000 0.000 0.000
Ge2 0.000 0.500 0.630
Pd1 0.000 0.000 0.500
Pd2 0.000 0.500 0.880
Pd3 0.500 0.500 0.500
```

Peak list (12 most intense, 10° ≤ 2θ ≤ 90°, low angle first)
hkl 1 1 0, 28.7 deg, intensity 22.7
hkl 1 0 3, 33.6 deg, intensity 85.8
hkl 1 1 2, 33.9 deg, intensity 100.0
hkl 2 0 0, 41.1 deg, intensity 77.9
hkl 1 1 4, 46.4 deg, intensity 20.2
hkl 1 0 5, 49.7 deg, intensity 26.1
hkl 2 1 3, 54.1 deg, intensity 43.5
hkl 2 2 0, 59.5 deg, intensity 25.7
hkl 1 1 6, 62.8 deg, intensity 17.2
hkl 2 1 5, 66.4 deg, intensity 21.8
hkl 3 1 2, 70.3 deg, intensity 23.3
hkl 2 0 8, 89.6 deg, intensity 16.0

# La2SmGe3Pd4
Calculated powder diffraction line list, Cu Kα (weighted mean of Kα1 and Kα2). Input: a crystal structure in Alexandria, relaxed with PBE.

```
data_La2SmGe3Pd4
_space_group_name_H-M_alt 'P -4 m 2'
_space_group_IT_number 115
_space_group_name_Hall 'P -4 -2'
_cell_length_a 4.363
_cell_length_b 4.363
_cell_length_c 11.308
_cell_angle_alpha 90.00
_cell_angle_beta 90.00
_cell_angle_gamma 90.00
loop_
_atom_site_label
_atom_site_fract_x
_atom_site_fract_y
_atom_site_fract_z
La1 0.000 0.500 0.222
Sm1 0.000 0.000 0.500
Ge1 0.000 0.500 0.882
Ge2 0.500 0.500 0.500
Pd1 0.000 0.000 0.000
Pd2 0.000 0.500 0.661
Pd3 0.500 0.500 0.000
```

Peak list (12 most intense, 10° ≤ 2θ ≤ 90°, low angle first)
hkl 1 0 2, 25.8 deg, intensity 7.9
hkl 1 0 3, 31.4 deg, intensity 28.1
hkl 1 1 2, 33.1 deg, intensity 100.0
hkl 1 0 4, 37.9 deg, intensity 16.3
hkl 2 0 0, 41.4 deg, intensity 51.7
hkl 1 1 4, 43.4 deg, intensity 20.6
hkl 1 0 5, 45.2 deg, intensity 14.8
hkl 2 1 3, 52.9 deg, intensity 18.0
hkl 1 1 6, 57.3 deg, intensity 15.1
hkl 2 2 0, 60.0 deg, intensity 17.1
hkl 2 1 5, 62.9 deg, intensity 10.9
hkl 3 1 2, 70.2 deg, intensity 22.0